Simulated PXRD pattern
Compound: Sr3N2
Radiation: Cu Kα (λ = 1.5418 Å)
Structure: DFT lattice parameters and positions (GGA-PBE)
Kinematic intensities with the Lorentz-polarization factor, no thermal factor.

Structural model:
Lattice parameters (Å, degrees): 4.9790 4.9790 4.9790 90.00 90.00 90.00
Fractional coordinates of all 5 atoms:
Sr: 0.0000 0.0000 0.5000
Sr: 0.0000 0.5000 0.0000
Sr: 0.5000 0.0000 0.0000
N: 0.0000 0.0000 0.0000
N: 0.5000 0.5000 0.5000

The 10 most intense peaks (2θ from 10° to 80°), in order of rising 2θ:
two_theta  Rel. int.
17.81  33
25.30  12
31.11  100
36.08  61
40.51  16
51.94  41
55.36  8
61.80  41
64.87  14
76.54  6